The following is a calculated powder diffraction line list of Pa2VGa3. It was derived from a structure optimized by DFT (GGA-PBE), using a wavelength of 1.5418 Å.

Cell lengths 5.640, 5.640, 8.363 Å; angles 90.00, 90.00, 120.00 degrees
Element x y z (fractional)
Pa: 0.333 0.667 0.083
Pa: 0.333 0.667 0.417
Pa: 0.667 0.333 0.583
Pa: 0.667 0.333 0.917
V: 0.000 0.000 0.000
V: 0.000 0.000 0.500
Ga: 0.171 0.342 0.750
Ga: 0.171 0.829 0.750
Ga: 0.342 0.171 0.250
Ga: 0.658 0.829 0.750
Ga: 0.829 0.171 0.250
Ga: 0.829 0.658 0.250

Peak list (10 most intense, 2θ from 5° to 70°, sorted by position)
h k l, 2θ/deg, I (rel.)
1 0 0, 18.16, 276
1 0 1, 21.06, 307
1 1 0, 31.73, 660
2 0 0, 36.80, 199
1 0 3, 37.13, 1000
2 0 1, 38.40, 641
1 1 2, 38.50, 530
2 1 3, 60.11, 478
3 0 2, 61.08, 137
2 2 0, 66.29, 225